La2MoO6: theoretical X-ray diffraction stick pattern (Cu Ka), based on a crystal structure in Alexandria, relaxed with PBE+U.
Intensities are scaled so that the largest is 100.

Atomic structure:
```
La2MoO6
1.0
2.971 1.715 4.415
-2.971 1.715 4.415
0.000 -3.430 4.415
La Mo O
2 1 6
Cartesian
0.000 0.000 3.310
0.000 0.000 9.936
0.000 0.000 0.000
-0.639 -1.973 5.526
-2.028 -0.433 7.719
-1.389 1.540 5.526
1.389 -1.540 7.719
2.028 0.433 5.526
0.639 1.973 7.719
```

Principal peaks in the range 5 to 70 degrees two-theta, low angle first:
| 2θ (°) | I/Imax |
| --- | --- |
| 18.50 | 43 |
| 21.87 | 47 |
| 30.08 | 100 |
| 32.15 | 94 |
| 37.51 | 23 |
| 44.60 | 51 |
| 48.81 | 16 |
| 53.42 | 30 |
| 54.74 | 47 |
| 58.57 | 17 |